Record 1
For Gd3Tl4SnPb2, a DFT-relaxed cell (GGA-PBE, OQMD) gives the theoretical X-ray diffraction stick pattern in this record (copper Kα).
Neutral-atom scattering factors, no anomalous dispersion.

```
Gd3Tl4SnPb2
1.0
2.377 -12.345 0.000
2.377 12.345 0.000
0.000 0.000 4.725
Gd Tl Sn Pb
3 4 1 2
Cartesian
0.000 0.000 0.000 Gd
2.377 7.640 0.000 Gd
2.377 -7.640 0.000 Gd
2.377 5.120 2.363 Tl
2.377 2.454 0.000 Tl
2.377 -2.454 0.000 Tl
2.377 -5.120 2.363 Tl
2.377 0.000 2.363 Sn
2.377 9.937 2.363 Pb
2.377 -9.937 2.363 Pb
```

Peak list (8 most intense, 10 to 90 degrees two-theta, low angle first)
2θ 32.3, intensity 100; 2θ 36.4, intensity 17; 2θ 37.8, intensity 18; 2θ 38.1, intensity 17; 2θ 54.8, intensity 13; 2θ 62.9, intensity 13; 2θ 64.9, intensity 14; 2θ 65.2, intensity 14

---

Record 2
For Pr3Cu2Si4Pt2, a DFT-relaxed cell (GGA-PBE, OQMD) gives the theoretical X-ray diffraction stick pattern in this record (copper Kα).
Neutral-atom scattering factors, no anomalous dispersion.

```
Pr3Cu2Si4Pt2
1.0
-2.093 2.100 12.194
2.093 -2.100 12.194
2.093 2.100 -12.194
Pr Cu Si Pt
3 2 4 2
Cartesian
0.000 0.000 0.000 Pr
2.093 0.000 8.490 Pr
0.000 2.100 3.704 Pr
0.000 0.000 6.080 Cu
0.000 0.000 18.308 Cu
2.093 0.000 4.819 Si
0.000 0.000 10.990 Si
0.000 0.000 13.398 Si
0.000 2.100 7.375 Si
2.093 0.000 2.379 Pt
0.000 2.100 9.814 Pt
```

Peak list (8 most intense, 10 to 90 degrees two-theta, low angle first)
2θ 28.1, intensity 34; 2θ 33.5, intensity 38; 2θ 33.6, intensity 100; 2θ 39.6, intensity 27; 2θ 43.1, intensity 22; 2θ 43.2, intensity 22; 2θ 46.3, intensity 19; 2θ 55.6, intensity 18

---

Record 3
For CsTaSiS5, a DFT-relaxed cell (GGA-PBE, OQMD) gives the theoretical X-ray diffraction stick pattern in this record (copper Kα).
Neutral-atom scattering factors, no anomalous dispersion.

```
CsTaSiS5
1.0
7.004 0.000 0.000
-2.018 7.205 0.000
-0.068 -3.732 8.586
Cs Ta Si S
2 2 2 10
Cartesian
0.050 1.757 1.591 Cs
4.869 1.715 6.995 Cs
1.729 -1.674 4.331 Ta
3.190 5.146 4.255 Ta
1.463 6.243 1.077 Si
3.455 -2.771 7.509 Si
-0.081 -0.197 4.568 S
-0.339 5.392 1.790 S
1.688 -1.827 6.827 S
1.378 2.267 7.490 S
1.401 3.640 4.405 S
3.518 -0.168 4.181 S
3.540 1.206 1.096 S
3.231 5.299 1.759 S
5.258 -1.920 6.796 S
4.999 3.669 4.018 S
```

Peak list (8 most intense, 10 to 90 degrees two-theta, low angle first)
2θ 10.3, intensity 77; 2θ 13.4, intensity 90; 2θ 19.7, intensity 82; 2θ 20.0, intensity 56; 2θ 24.7, intensity 80; 2θ 27.3, intensity 100; 2θ 31.2, intensity 95; 2θ 40.6, intensity 40

---

Record 4
For HoLu2Fe7Co2, a DFT-relaxed cell (GGA-PBE, OQMD) gives the theoretical X-ray diffraction stick pattern in this record (copper Kα).
Neutral-atom scattering factors, no anomalous dispersion.

```
HoLu2Fe7Co2
1.0
2.495 1.440 8.073
-2.495 1.440 8.073
0.000 -2.881 8.073
Ho Lu Fe Co
1 2 7 2
Cartesian
0.000 0.000 0.000 Ho
0.000 0.000 3.447 Lu
0.000 0.000 20.773 Lu
-1.250 -0.721 10.075 Fe
0.000 -1.443 14.145 Fe
-1.250 0.721 14.145 Fe
0.000 0.000 12.110 Fe
1.250 -0.721 10.075 Fe
0.000 1.443 10.075 Fe
1.250 0.721 14.145 Fe
0.000 0.000 8.057 Co
0.000 0.000 16.162 Co
```

Peak list (8 most intense, 10 to 90 degrees two-theta, low angle first)
2θ 33.2, intensity 54; 2θ 36.0, intensity 58; 2θ 36.2, intensity 34; 2θ 42.0, intensity 37; 2θ 42.6, intensity 100; 2θ 62.9, intensity 17; 2θ 69.3, intensity 33; 2θ 76.3, intensity 20